# 1
Sc2Se3: calculated powder diffractogram (a wavelength of 1.5418 Å), based on a structure optimized by DFT (PBE).

Structure:
Unit cell a=12.788 b=12.198 c=6.690 alpha=79.40 beta=69.65 gamma=30.95
Sites, in units of the cell vectors:
Sc 0.042 0.042 0.208
Sc 0.126 0.126 0.624
Sc 0.208 0.208 0.042
Sc 0.376 0.376 0.874
Sc 0.624 0.624 0.126
Sc 0.792 0.792 0.958
Sc 0.874 0.874 0.376
Sc 0.958 0.958 0.792
Se 0.045 0.541 0.200
Se 0.122 0.628 0.628
Se 0.200 0.713 0.045
Se 0.287 0.800 0.459
Se 0.372 0.878 0.878
Se 0.459 0.955 0.287
Se 0.541 0.045 0.713
Se 0.628 0.122 0.122
Se 0.713 0.200 0.541
Se 0.800 0.287 0.955
Se 0.878 0.372 0.372
Se 0.955 0.459 0.800

Top 10 peaks for 2θ = 5–70°, low angle first:
two_theta  intensity
14.53  9.7
28.30  40.1
32.79  100.0
46.90  11.7
47.09  58.0
55.71  6.2
55.88  12.3
58.43  11.8
58.65  11.7
68.69  7.1

---

# 2
ScSe: calculated powder diffractogram (a wavelength of 1.5418 Å), based on a structure optimized by DFT (PBE).

Structure:
Unit cell a=3.874 b=3.874 c=3.874 alpha=60.00 beta=60.00 gamma=60.00
Sites, in units of the cell vectors:
Sc 0.000 0.000 0.000
Se 0.500 0.500 0.500

Top 6 peaks for 2θ = 5–70°, low angle first:
two_theta  intensity
28.21  14.9
32.69  100.0
46.91  69.6
55.64  7.6
58.35  23.5
68.51  10.7

---

# 3
Sc4Se5: calculated powder diffractogram (a wavelength of 1.5418 Å), based on a structure optimized by DFT (PBE).

Structure:
Unit cell a=6.819 b=6.819 c=6.819 alpha=97.66 beta=97.66 gamma=137.16
Sites, in units of the cell vectors:
Sc 0.000 0.279 0.279
Sc 0.000 0.721 0.721
Sc 0.279 0.000 0.279
Sc 0.721 0.000 0.721
Se 0.000 0.000 0.000
Se 0.313 0.313 0.627
Se 0.313 0.687 0.000
Se 0.687 0.313 0.000
Se 0.687 0.687 0.373

Top 10 peaks for 2θ = 5–70°, low angle first:
two_theta  intensity
13.95  16.0
19.78  15.6
34.98  100.0
36.07  29.2
40.18  6.7
40.50  13.6
42.73  21.5
54.31  10.9
57.12  17.7
64.15  16.0